1.
Na4Pm3VO8: theoretical powder X-ray diffraction pattern (Cu Kα (λ = 1.5418 Å)), based on a DFT-relaxed cell (PBE+U, Alexandria).
Kinematic intensities with the Lorentz-polarization factor, no thermal factor.

Atomic structure:
Lattice parameters (Å, degrees): 11.891 6.871 6.865 90.00 124.97 90.00
Space group C2/m (No. 12)
Symmetry-distinct sites (fractional):
1 Na 0.000 0.000 0.000 (multiplicity 2)
2 Na 0.000 0.500 0.000 (multiplicity 2)
3 Na 0.250 0.250 0.500 (multiplicity 4)
4 Pm 0.000 0.000 0.500 (multiplicity 2)
5 Pm 0.250 0.250 0.000 (multiplicity 4)
6 V 0.000 0.500 0.500 (multiplicity 2)
7 O 0.007 0.273 0.719 (multiplicity 8)
8 O 0.237 0.500 0.753 (multiplicity 4)
9 O 0.239 0.000 0.759 (multiplicity 4)

Peak list (10 most intense, 2θ from 10° to 90°, in order of rising 2θ)
two_theta  d_spacing  I/Imax  index
15.82  5.601  100  2 0 -1
30.40  2.941  19  2 0 1
30.50  2.931  34  0 2 1
31.85  2.810  57  0 0 2
31.97  2.799  20  4 0 -2
36.90  2.436  31  4 0 0
37.02  2.428  60  2 2 -2
40.46  2.229  20  4 2 -1
53.16  1.723  20  2 2 2
53.36  1.717  38  0 4 0

***

2.
NaPmV2O6: theoretical powder X-ray diffraction pattern (Cu Kα (λ = 1.5418 Å)), based on a DFT-relaxed cell (PBE+U, Alexandria).
Kinematic intensities with the Lorentz-polarization factor, no thermal factor.

Atomic structure:
Lattice parameters (Å, degrees): 10.700 10.006 6.195 90.00 109.69 90.00
Space group C2/c (No. 15)
Symmetry-distinct sites (fractional):
1 Na 0.000 0.212 0.250 (multiplicity 4)
2 Pm 0.000 0.400 0.750 (multiplicity 4)
3 V 0.200 0.086 0.737 (multiplicity 8)
4 O 0.118 0.419 0.146 (multiplicity 8)
5 O 0.128 0.244 0.649 (multiplicity 8)
6 O 0.148 0.014 0.968 (multiplicity 8)

Peak list (10 most intense, 2θ from 10° to 90°, in order of rising 2θ)
two_theta  d_spacing  I/Imax  index
12.47  7.099  68  1 1 0
17.23  5.146  29  1 1 -1
17.73  5.003  18  0 2 0
21.90  4.059  26  1 1 1
26.10  3.414  100  2 2 -1
28.03  3.184  57  3 1 0
30.66  2.916  75  0 0 2
32.49  2.756  41  2 2 1
47.70  1.907  22  2 2 -3
50.69  1.801  18  5 3 -1

***

3.
Na3Pm2VO6: theoretical powder X-ray diffraction pattern (Cu Kα (λ = 1.5418 Å)), based on a DFT-relaxed cell (PBE+U, Alexandria).
Kinematic intensities with the Lorentz-polarization factor, no thermal factor.

Atomic structure:
Lattice parameters (Å, degrees): 5.881 10.211 5.899 90.00 108.82 90.00
Space group C2/m (No. 12)
Symmetry-distinct sites (fractional):
1 Na 0.000 0.000 0.000 (multiplicity 2)
2 Na 0.000 0.347 0.000 (multiplicity 4)
3 Pm 0.000 0.168 0.500 (multiplicity 4)
4 V 0.000 0.500 0.500 (multiplicity 2)
5 O 0.224 0.347 0.714 (multiplicity 8)
6 O 0.234 0.500 0.297 (multiplicity 4)

Peak list (10 most intense, 2θ from 10° to 90°, in order of rising 2θ)
two_theta  d_spacing  I/Imax  index
15.87  5.584  100  0 0 1
30.79  2.904  32  1 3 0
32.06  2.791  26  0 0 2
32.16  2.783  21  2 0 0
32.26  2.775  41  1 3 -1
37.23  2.415  69  1 3 1
37.56  2.395  34  2 0 -2
48.92  1.862  15  1 3 2
53.85  1.702  32  0 6 0
53.98  1.699  22  3 3 -1